(1)
Diffraction record for Tb4Dy4Ho5. The powder diffractogram is calculated, not measured: it uses a DFT-relaxed cell (GGA-PBE, Alexandria) and a wavelength of 1.5418 Å.
Intensities are scaled so that the largest is 100.

Cell and atoms:
```
data_Tb4Dy4Ho5
_chemical_formula_sum 'Tb4 Dy4 Ho5'
_symmetry_space_group_name_H-M 'P 1'
_symmetry_Int_Tables_number 1
_cell_length_a 9.3512
_cell_length_b 9.3512
_cell_length_c 9.3512
_cell_angle_alpha 94.08
_cell_angle_beta 94.08
_cell_angle_gamma 149.08
loop_
_symmetry_equiv_pos_as_xyz
'x,y,z'
loop_
_atom_site_label
_atom_site_fract_x
_atom_site_fract_y
_atom_site_fract_z
Tb1 0.1536 0.7696 0.9231
Tb2 0.2304 0.1536 0.3840
Tb3 0.7696 0.8464 0.6160
Tb4 0.8464 0.2304 0.0769
Dy1 0.0771 0.3847 0.4618
Dy2 0.3847 0.9229 0.3075
Dy3 0.6153 0.0771 0.6925
Dy4 0.9229 0.6153 0.5382
Ho1 0.0000 0.0000 0.0000
Ho2 0.3080 0.5384 0.8464
Ho3 0.4616 0.3080 0.7695
Ho4 0.5384 0.6920 0.2305
Ho5 0.6920 0.4616 0.1536
```

Peak list (10 most intense, 2θ = 10–90°, low angle first)
d = 2.884 Å, 31.01 deg, intensity 100
d = 2.500 Å, 35.93 deg, intensity 34
d = 2.493 Å, 36.03 deg, intensity 17
d = 1.766 Å, 51.77 deg, intensity 36
d = 1.507 Å, 61.54 deg, intensity 29
d = 1.504 Å, 61.67 deg, intensity 14
d = 1.442 Å, 64.64 deg, intensity 12
d = 1.147 Å, 84.48 deg, intensity 6
d = 1.145 Å, 84.60 deg, intensity 12
d = 1.118 Å, 87.23 deg, intensity 11

=====

(2)
Diffraction record for Pm7Si5. The powder diffractogram is calculated, not measured: it uses a DFT-relaxed cell (GGA-PBE, Alexandria) and a wavelength of 1.5418 Å.
Intensities are scaled so that the largest is 100.

Cell and atoms:
```
data_Pm7Si5
_chemical_formula_sum 'Pm7 Si5'
_symmetry_space_group_name_H-M 'P 1'
_symmetry_Int_Tables_number 1
_cell_length_a 7.2803
_cell_length_b 7.2803
_cell_length_c 12.3656
_cell_angle_alpha 105.17
_cell_angle_beta 105.17
_cell_angle_gamma 33.23
loop_
_symmetry_equiv_pos_as_xyz
'x,y,z'
loop_
_atom_site_label
_atom_site_fract_x
_atom_site_fract_y
_atom_site_fract_z
Pm1 0.0000 0.0000 0.0000
Pm2 0.1563 0.1563 0.5506
Pm3 0.2386 0.2386 0.8545
Pm4 0.4561 0.4561 0.7167
Pm5 0.5439 0.5439 0.2833
Pm6 0.7614 0.7614 0.1455
Pm7 0.8437 0.8437 0.4494
Si1 0.1988 0.1988 0.3068
Si2 0.3829 0.3829 0.0746
Si3 0.5000 0.5000 0.5000
Si4 0.6171 0.6171 0.9254
Si5 0.8012 0.8012 0.6932
```

Peak list (10 most intense, 2θ = 10–90°, low angle first)
d = 3.683 Å, 24.17 deg, intensity 34
d = 3.488 Å, 25.54 deg, intensity 60
d = 3.189 Å, 27.98 deg, intensity 59
d = 3.094 Å, 28.85 deg, intensity 40
d = 3.067 Å, 29.12 deg, intensity 80
d = 3.045 Å, 29.33 deg, intensity 100
d = 2.944 Å, 30.36 deg, intensity 52
d = 2.829 Å, 31.63 deg, intensity 34
d = 2.668 Å, 33.59 deg, intensity 34
d = 2.082 Å, 43.47 deg, intensity 53